Record 1
# MgCr2N2O14
Theoretical PXRD pattern, λ = 1.5418 Å (Cu Kα). Input: a GGA+U-relaxed structure.

Atomic structure:
```
data_MgCr2N2O14
_chemical_formula_sum 'Mg2 Cr4 N4 O28'
_space_group_name_H-M_alt 'P 1'
_space_group_IT_number 1
_cell_length_a 6.7079
_cell_length_b 13.4325
_cell_length_c 10.0514
_cell_angle_alpha 90.00
_cell_angle_beta 106.04
_cell_angle_gamma 90.00
loop_
_space_group_symop_operation_xyz
'x,y,z'
loop_
_atom_site_label
_atom_site_type_symbol
_atom_site_fract_x
_atom_site_fract_y
_atom_site_fract_z
_atom_site_occupancy
Mg1 Mg 0.0000 0.0000 0.0000 1
Mg2 Mg 0.0000 0.5000 0.5000 1
Cr1 Cr 0.2611 0.1397 0.5970 1
Cr2 Cr 0.2611 0.3603 0.0970 1
Cr3 Cr 0.7389 0.6397 0.9030 1
Cr4 Cr 0.7389 0.8603 0.4030 1
N1 N 0.3597 0.6491 0.1304 1
N2 N 0.3597 0.8509 0.6304 1
N3 N 0.6403 0.1491 0.3696 1
N4 N 0.6403 0.3509 0.8696 1
O1 O 0.0268 0.5979 0.3566 1
O2 O 0.0268 0.9021 0.8566 1
O3 O 0.0314 0.1786 0.6141 1
O4 O 0.0314 0.3214 0.1141 1
O5 O 0.1510 0.5916 0.6500 1
O6 O 0.1510 0.9084 0.1500 1
O7 O 0.2056 0.0800 0.4463 1
O8 O 0.2056 0.4200 0.9463 1
O9 O 0.2677 0.0616 0.9972 1
O10 O 0.2677 0.4384 0.4972 1
O11 O 0.3815 0.0644 0.7270 1
O12 O 0.3815 0.4356 0.2270 1
O13 O 0.4197 0.2349 0.5986 1
O14 O 0.4197 0.2651 0.0986 1
O15 O 0.5803 0.7349 0.9014 1
O16 O 0.5803 0.7651 0.4014 1
O17 O 0.6185 0.5644 0.7730 1
O18 O 0.6185 0.9356 0.2730 1
O19 O 0.7323 0.5616 0.5028 1
O20 O 0.7323 0.9384 0.0028 1
O21 O 0.7944 0.5800 0.0537 1
O22 O 0.7944 0.9200 0.5537 1
O23 O 0.8490 0.0916 0.8500 1
O24 O 0.8490 0.4084 0.3500 1
O25 O 0.9686 0.6786 0.8859 1
O26 O 0.9686 0.8214 0.3859 1
O27 O 0.9732 0.0979 0.1434 1
O28 O 0.9732 0.4021 0.6434 1
```

The 10 most intense peaks (2θ from 10° to 80°), in order of rising 2θ:
two_theta, intensity
15.2, 78
16.1, 36
19.5, 95
19.7, 100
21.9, 71
22.8, 23
26.5, 17
27.5, 33
34.0, 20
38.7, 19

***

Record 2
# Li3Mn2P2C2O14
Theoretical PXRD pattern, λ = 1.5418 Å (Cu Kα). Input: a GGA+U-relaxed structure.

Atomic structure:
```
data_Li3Mn2P2C2O14
_chemical_formula_sum 'Li6 Mn4 P4 C4 O28'
_space_group_name_H-M_alt 'P 1'
_space_group_IT_number 1
_cell_length_a 6.4809
_cell_length_b 8.3182
_cell_length_c 10.1213
_cell_angle_alpha 94.39
_cell_angle_beta 90.29
_cell_angle_gamma 90.27
loop_
_space_group_symop_operation_xyz
'x,y,z'
loop_
_atom_site_label
_atom_site_type_symbol
_atom_site_fract_x
_atom_site_fract_y
_atom_site_fract_z
_atom_site_occupancy
Li1 Li 0.0000 0.0000 0.0000 1
Li2 Li 0.0359 0.0223 0.5041 1
Li3 Li 0.4580 0.0040 0.9945 1
Li4 Li 0.5121 0.4732 0.7592 1
Li5 Li 0.7284 0.6468 0.5068 1
Li6 Li 0.9469 0.4806 0.2408 1
Mn1 Mn 0.2297 0.4144 0.0223 1
Mn2 Mn 0.2306 0.4156 0.5208 1
Mn3 Mn 0.7252 0.0760 0.2278 1
Mn4 Mn 0.7315 0.0740 0.7219 1
P1 P 0.2213 0.1669 0.2573 1
P2 P 0.2381 0.1643 0.7614 1
P3 P 0.7255 0.3230 0.9857 1
P4 P 0.7369 0.3239 0.4844 1
C1 C 0.2217 0.6978 0.4779 1
C2 C 0.2323 0.6972 0.9821 1
C3 C 0.7277 0.7872 0.7689 1
C4 C 0.7414 0.7965 0.2730 1
O1 O 0.0387 0.0578 0.2060 1
O2 O 0.0465 0.0678 0.7095 1
O3 O 0.2033 0.8405 0.4539 1
O4 O 0.2081 0.3327 0.1979 1
O5 O 0.2094 0.2018 0.4109 1
O6 O 0.2173 0.5758 0.3856 1
O7 O 0.2183 0.6438 0.0997 1
O8 O 0.2226 0.1991 0.9170 1
O9 O 0.2311 0.8439 0.9601 1
O10 O 0.2458 0.6453 0.5966 1
O11 O 0.2466 0.5786 0.8887 1
O12 O 0.2597 0.3273 0.6987 1
O13 O 0.4141 0.0720 0.2094 1
O14 O 0.4236 0.0544 0.7303 1
O15 O 0.5367 0.4231 0.0294 1
O16 O 0.5493 0.4300 0.5275 1
O17 O 0.7058 0.6480 0.8001 1
O18 O 0.7215 0.2858 0.8326 1
O19 O 0.7237 0.8435 0.1528 1
O20 O 0.7258 0.1540 0.0457 1
O21 O 0.7377 0.8307 0.6473 1
O22 O 0.7400 0.9152 0.8580 1
O23 O 0.7421 0.2830 0.3315 1
O24 O 0.7420 0.9198 0.3637 1
O25 O 0.7481 0.1640 0.5507 1
O26 O 0.7568 0.6549 0.3048 1
O27 O 0.9149 0.4238 0.0352 1
O28 O 0.9170 0.4409 0.5230 1
```

The 10 most intense peaks (2θ from 10° to 80°), in order of rising 2θ:
two_theta, intensity
10.7, 100
17.4, 45
19.9, 41
21.3, 55
25.3, 15
25.5, 17
26.8, 37
27.5, 92
35.6, 15
36.4, 20

***

What did the first record say?
# MgCr2N2O14
Theoretical PXRD pattern, λ = 1.5418 Å (Cu Kα). Input: a GGA+U-relaxed structure.

Atomic structure:
```
data_MgCr2N2O14
_chemical_formula_sum 'Mg2 Cr4 N4 O28'
_space_group_name_H-M_alt 'P 1'
_space_group_IT_number 1
_cell_length_a 6.7079
_cell_length_b 13.4325
_cell_length_c 10.0514
_cell_angle_alpha 90.00
_cell_angle_beta 106.04
_cell_angle_gamma 90.00
loop_
_space_group_symop_operation_xyz
'x,y,z'
loop_
_atom_site_label
_atom_site_type_symbol
_atom_site_fract_x
_atom_site_fract_y
_atom_site_fract_z
_atom_site_occupancy
Mg1 Mg 0.0000 0.0000 0.0000 1
Mg2 Mg 0.0000 0.5000 0.5000 1
Cr1 Cr 0.2611 0.1397 0.5970 1
Cr2 Cr 0.2611 0.3603 0.0970 1
Cr3 Cr 0.7389 0.6397 0.9030 1
Cr4 Cr 0.7389 0.8603 0.4030 1
N1 N 0.3597 0.6491 0.1304 1
N2 N 0.3597 0.8509 0.6304 1
N3 N 0.6403 0.1491 0.3696 1
N4 N 0.6403 0.3509 0.8696 1
O1 O 0.0268 0.5979 0.3566 1
O2 O 0.0268 0.9021 0.8566 1
O3 O 0.0314 0.1786 0.6141 1
O4 O 0.0314 0.3214 0.1141 1
O5 O 0.1510 0.5916 0.6500 1
O6 O 0.1510 0.9084 0.1500 1
O7 O 0.2056 0.0800 0.4463 1
O8 O 0.2056 0.4200 0.9463 1
O9 O 0.2677 0.0616 0.9972 1
O10 O 0.2677 0.4384 0.4972 1
O11 O 0.3815 0.0644 0.7270 1
O12 O 0.3815 0.4356 0.2270 1
O13 O 0.4197 0.2349 0.5986 1
O14 O 0.4197 0.2651 0.0986 1
O15 O 0.5803 0.7349 0.9014 1
O16 O 0.5803 0.7651 0.4014 1
O17 O 0.6185 0.5644 0.7730 1
O18 O 0.6185 0.9356 0.2730 1
O19 O 0.7323 0.5616 0.5028 1
O20 O 0.7323 0.9384 0.0028 1
O21 O 0.7944 0.5800 0.0537 1
O22 O 0.7944 0.9200 0.5537 1
O23 O 0.8490 0.0916 0.8500 1
O24 O 0.8490 0.4084 0.3500 1
O25 O 0.9686 0.6786 0.8859 1
O26 O 0.9686 0.8214 0.3859 1
O27 O 0.9732 0.0979 0.1434 1
O28 O 0.9732 0.4021 0.6434 1
```

The 10 most intense peaks (2θ from 10° to 80°), in order of rising 2θ:
two_theta, intensity
15.2, 78
16.1, 36
19.5, 95
19.7, 100
21.9, 71
22.8, 23
26.5, 17
27.5, 33
34.0, 20
38.7, 19